For Li3Mn2SnO6, the PBE+U geometry in Alexandria gives the theoretical X-ray powder pattern in this record (Cu Kα X-rays).

Most intense lines, 15° ≤ 2θ ≤ 90°, by angle:
Position (°2θ)  I (rel.)
17.83  100
33.57  21
33.84  17
33.93  16
35.39  23
40.98  26
41.48  49
45.26  15
55.10  11
60.22  14

Structure:
```
data_Li3Mn2SnO6
_chemical_formula_sum 'Li6 Mn4 Sn2 O12'
_cell_length_a 6.1173
_cell_length_b 6.2002
_cell_length_c 6.9301
_cell_angle_alpha 103.02
_cell_angle_beta 101.52
_cell_angle_gamma 90.13
_symmetry_space_group_name_H-M 'P -1'
_symmetry_Int_Tables_number 2
_symmetry_space_group_name_Hall '-P 1'
loop_
_atom_site_label
_atom_site_type_symbol
_atom_site_fract_x
_atom_site_fract_y
_atom_site_fract_z
Li1 Li 0.0000 0.0000 0.0000
Li2 Li 0.0000 0.5000 0.0000
Li3 Li 0.3190 0.3288 0.3317
Li4 Li 0.3277 0.7999 0.3452
Mn1 Mn 0.1540 0.1635 0.6574
Mn2 Mn 0.1553 0.6617 0.6651
Sn1 Sn 0.5000 0.0000 0.0000
Sn2 Sn 0.5000 0.5000 0.0000
O1 O 0.0614 0.1077 0.3289
O2 O 0.0695 0.5629 0.3275
O3 O 0.2668 0.2483 0.0010
O4 O 0.2731 0.7560 0.0260
O5 O 0.3968 0.8944 0.6807
O6 O 0.4015 0.4380 0.6858
```